Starting from a PBE+U-relaxed structure, the X-ray powder pattern of Co2HgO4 was simulated for λ = 1.5418 Å (Cu Kα).
Intensities are scaled so that the largest is 100.

Crystal structure
Cell: 8.767 8.767 8.767 Å, 90.00 90.00 90.00°
Space group Fd-3m (No. 227, origin choice 2)
One atom of each set of equivalent atoms:
1 Co 0.000 0.000 0.000 [16 per cell]
2 Hg 0.125 0.125 0.625 [8 per cell]
3 O 0.022 0.022 0.228 [32 per cell]

The 10 most intense peaks (15° ≤ 2θ ≤ 90°), in order of rising 2θ:
(hkl), two_theta, I_rel
1 1 1, 17.52, 15
2 2 0, 28.80, 81
3 1 1, 33.91, 100
4 2 2, 51.03, 31
5 1 1, 54.37, 40
4 4 0, 59.66, 32
6 2 0, 67.58, 13
5 3 3, 70.42, 13
6 4 2, 82.30, 18
5 5 3, 84.97, 21

Starting from a PBE+U-relaxed structure, the X-ray powder pattern of Co2HgO4 was simulated for λ = 1.5418 Å (Cu Kα).
Intensities are scaled so that the largest is 100.

Crystal structure
Cell: 6.372 6.372 8.494 Å, 90.00 90.00 90.00°
Space group I4_1/amd (No. 141, origin choice 2)
One atom of each set of equivalent atoms:
1 Co 0.000 0.000 0.000 [8 per cell]
2 Hg 0.000 0.250 0.375 [4 per cell]
3 O 0.000 0.040 0.770 [16 per cell]

The 10 most intense peaks (15° ≤ 2θ ≤ 90°), in order of rising 2θ:
(hkl), two_theta, I_rel
1 0 1, 17.40, 23
2 0 0, 28.00, 40
1 1 2, 28.89, 75
2 1 1, 33.16, 100
1 0 3, 34.67, 44
3 1 2, 50.11, 31
2 0 4, 51.74, 14
3 2 1, 52.92, 34
4 0 0, 57.88, 17
2 2 4, 59.85, 30

Starting from a PBE+U-relaxed structure, the X-ray powder pattern of HoCoO3 was simulated for λ = 1.5418 Å (Cu Kα).
Intensities are scaled so that the largest is 100.

Crystal structure
Cell: 5.735 7.329 5.215 Å, 90.00 90.00 90.00°
Space group Pnma (No. 62)
One atom of each set of equivalent atoms:
1 Ho 0.086 0.250 0.025 [4 per cell]
2 Co 0.000 0.000 0.500 [4 per cell]
3 O 0.032 0.750 0.388 [4 per cell]
4 O 0.183 0.553 0.802 [8 per cell]

The 10 most intense peaks (15° ≤ 2θ ≤ 90°), in order of rising 2θ:
(hkl), two_theta, I_rel
1 0 1, 23.05, 17
1 1 1, 26.10, 38
2 0 0, 31.19, 16
2 1 0, 33.56, 25
1 2 1, 33.73, 100
0 0 2, 34.40, 26
2 1 2, 48.82, 21
0 4 0, 49.76, 15
3 1 1, 52.49, 24
1 2 3, 61.20, 29

Starting from a PBE+U-relaxed structure, the X-ray powder pattern of HoCoO3 was simulated for λ = 1.5418 Å (Cu Kα).
Intensities are scaled so that the largest is 100.

Crystal structure
Cell: 5.686 12.251 3.852 Å, 90.00 90.00 90.00°
Space group Pnma (No. 62)
One atom of each set of equivalent atoms:
1 Ho 0.164 0.250 0.085 [4 per cell]
2 Co 0.000 0.000 0.000 [4 per cell]
3 O 0.003 0.250 0.608 [4 per cell]
4 O 0.248 0.073 0.245 [8 per cell]

The 10 most intense peaks (15° ≤ 2θ ≤ 90°), in order of rising 2θ:
(hkl), two_theta, I_rel
0 1 1, 24.22, 41
1 0 1, 27.98, 55
1 1 1, 28.93, 100
0 4 0, 29.16, 92
2 1 0, 32.33, 54
1 3 1, 35.72, 56
2 3 0, 38.59, 33
1 4 1, 40.85, 40
1 5 1, 46.75, 27
3 2 1, 56.13, 48

Please write out number 1 again, unchanged.
Starting from a PBE+U-relaxed structure, the X-ray powder pattern of Co2HgO4 was simulated for λ = 1.5418 Å (Cu Kα).
Intensities are scaled so that the largest is 100.

Crystal structure
Cell: 8.767 8.767 8.767 Å, 90.00 90.00 90.00°
Space group Fd-3m (No. 227, origin choice 2)
One atom of each set of equivalent atoms:
1 Co 0.000 0.000 0.000 [16 per cell]
2 Hg 0.125 0.125 0.625 [8 per cell]
3 O 0.022 0.022 0.228 [32 per cell]

The 10 most intense peaks (15° ≤ 2θ ≤ 90°), in order of rising 2θ:
(hkl), two_theta, I_rel
1 1 1, 17.52, 15
2 2 0, 28.80, 81
3 1 1, 33.91, 100
4 2 2, 51.03, 31
5 1 1, 54.37, 40
4 4 0, 59.66, 32
6 2 0, 67.58, 13
5 3 3, 70.42, 13
6 4 2, 82.30, 18
5 5 3, 84.97, 21